# Sr2VCu2O7
Theoretical X-ray powder pattern, λ = 1.5418 Å (Cu Kα). Input: a crystal structure in Alexandria, relaxed with PBE+U.

Cell and atoms:
```
data_Sr2VCu2O7
_space_group_name_H-M_alt 'C 1 m 1'
_space_group_IT_number 8
_space_group_name_Hall 'C -2y'
_cell_length_a 7.5015
_cell_length_b 24.9747
_cell_length_c 5.2655
_cell_angle_alpha 90.00
_cell_angle_beta 134.20
_cell_angle_gamma 90.00
loop_
_atom_site_label
_atom_site_type_symbol
_atom_site_fract_x
_atom_site_fract_y
_atom_site_fract_z
Sr1 Sr 0.0000 0.1112 0.0000
Sr2 Sr 0.0211 0.3883 0.0213
V1 V 0.0864 0.0000 0.5244
V2 V 0.4524 0.0000 0.3997
Cu1 Cu 0.0079 0.3107 0.5089
Cu2 Cu 0.0131 0.1895 0.5140
O1 O 0.0621 0.4366 0.5844
O2 O 0.1220 0.0000 0.2189
O3 O 0.2596 0.1710 0.5108
O4 O 0.2600 0.1724 0.0108
O5 O 0.2609 0.3257 0.5118
O6 O 0.2616 0.3244 0.0126
O7 O 0.3855 0.0000 0.9701
O8 O 0.4462 0.4416 0.4716
```

Principal peaks in the range 15° ≤ 2θ ≤ 90°, sorted by position:
Position (°2θ), intensity, (hkl)
27.61, 100, 0 4 1
27.75, 98, 2 4 -1
32.01, 58, 0 6 1
32.13, 56, 2 6 -1
33.32, 66, 2 0 0
34.06, 71, 2 0 -2
35.96, 44, 0 10 0
37.38, 75, 0 8 1
37.49, 78, 2 8 -1
48.21, 44, 0 0 2
48.56, 41, 4 0 -2
50.37, 34, 2 10 -2